# Ir4PtRh7
Computed X-ray diffraction stick pattern, Cu Kα X-rays. Input: a crystal structure in Alexandria, relaxed with PBE.
Kinematic intensities with the Lorentz-polarization factor, no thermal factor.

Structure:
abc: 4.7314 5.4551 7.2284
angles: 100.95 109.04 90.01
Element x y z (fractional)
1 Ir 0.1627 0.1680 0.1638
2 Ir 0.3353 0.5845 0.8329
3 Ir 0.6647 0.4155 0.1671
4 Ir 0.8373 0.8320 0.8362
5 Pt 0.5000 0.0000 0.5000
6 Rh 0.0040 0.2534 0.4993
7 Rh 0.1660 0.6643 0.1636
8 Rh 0.3320 0.0838 0.8368
9 Rh 0.5000 0.5000 0.5000
10 Rh 0.6680 0.9162 0.1632
11 Rh 0.8340 0.3357 0.8364
12 Rh 0.9960 0.7466 0.5007

The 6 most intense peaks (2θ = 15–90°), by angle:
(hkl)  two_theta  intensity
1 2 0  40.5  100.0
2 0 1  47.0  32.6
-1 2 2  47.1  16.1
1 2 3  68.7  26.0
3 2 1  82.8  15.7
2 4 -3  83.0  15.7

# Er8AsSe6
Computed X-ray diffraction stick pattern, Cu Kα X-rays. Input: a crystal structure in Alexandria, relaxed with PBE.
Kinematic intensities with the Lorentz-polarization factor, no thermal factor.

Structure:
abc: 10.2713 10.2713 4.0397
angles: 90.00 90.00 120.00
Element x y z (fractional)
1 Er 0.0306 0.7251 0.2590
2 Er 0.2749 0.3055 0.2590
3 Er 0.3055 0.0306 0.7410
4 Er 0.3333 0.6667 0.7465
5 Er 0.6667 0.3333 0.2535
6 Er 0.6945 0.9694 0.2590
7 Er 0.7251 0.6945 0.7410
8 Er 0.9694 0.2749 0.7410
9 As 0.0000 0.0000 0.5000
10 Se 0.1289 0.4791 0.2471
11 Se 0.3502 0.8711 0.2471
12 Se 0.4791 0.3502 0.7529
13 Se 0.5209 0.6498 0.2471
14 Se 0.6498 0.1289 0.7529
15 Se 0.8711 0.5209 0.7529

The 6 most intense peaks (2θ = 15–90°), by angle:
(hkl)  two_theta  intensity
2 -1 1  28.1  57.8
2 0 1  29.9  48.6
3 0 0  30.1  73.1
3 -2 1  34.7  100.0
2 2 1  41.7  48.3
2 3 1  50.1  39.2

# Li3Ge2Pd4
Computed X-ray diffraction stick pattern, Cu Kα X-rays. Input: a crystal structure in Alexandria, relaxed with PBE.
Kinematic intensities with the Lorentz-polarization factor, no thermal factor.

Structure:
abc: 4.2656 4.2656 8.0713
angles: 90.00 90.00 120.00
Element x y z (fractional)
1 Li 0.0000 0.0000 0.0000
2 Li 0.3333 0.6667 0.4457
3 Li 0.6667 0.3333 0.5543
4 Ge 0.3333 0.6667 0.7797
5 Ge 0.6667 0.3333 0.2203
6 Pd 0.0000 0.0000 0.3190
7 Pd 0.0000 0.0000 0.6810
8 Pd 0.3333 0.6667 0.1063
9 Pd 0.6667 0.3333 0.8937

The 6 most intense peaks (2θ = 15–90°), by angle:
(hkl)  two_theta  intensity
0 1 1  26.5  62.8
1 0 2  32.9  28.1
0 1 3  41.5  100.0
1 1 0  42.4  97.1
2 0 3  60.8  31.7
1 2 3  76.9  31.4